Diffraction record for LiZn3Cu2. The powder X-ray diffraction pattern is simulated, not measured: it uses a crystal structure in Alexandria, relaxed with PBE and a wavelength of 1.5418 Å.
No peak broadening, texture or thermal motion is included.

Most intense lines, 10° ≤ 2θ ≤ 80°, in order of rising 2θ:
2theta, d [Å], Rel. int.
18.3, 4.838, 11
27.9, 3.197, 7
42.4, 2.131, 33
42.9, 2.110, 100
42.9, 2.107, 33
43.4, 2.087, 30
61.5, 1.507, 11
62.3, 1.490, 9
62.9, 1.477, 10
78.5, 1.219, 10

Unit cell a=4.9178 b=4.9178 c=6.7540 alpha=97.61 beta=97.61 gamma=95.88
Sites, in units of the cell vectors:
Li 0.0880 0.9120 0.7500
Li 0.9120 0.0880 0.2500
Zn 0.1593 0.3224 0.9954
Zn 0.3224 0.1593 0.4954
Zn 0.4190 0.5810 0.7500
Zn 0.5810 0.4190 0.2500
Zn 0.6776 0.8407 0.5046
Zn 0.8407 0.6776 0.0046
Cu 0.1203 0.6300 0.3757
Cu 0.3700 0.8797 0.1243
Cu 0.6300 0.1203 0.8757
Cu 0.8797 0.3700 0.6243